Calculated XRD peak list of Nd12Sm2Ho for Cu Kα X-rays, from a DFT-relaxed cell (PBE, Alexandria).

Largest 8 diffraction maxima, sorted by position, 2θ = 5–70°:
2θ 27.95, rel. 42, hkl 2 0 2; 2θ 29.04, rel. 29, hkl 2 0 3; 2θ 30.51, rel. 36, hkl 2 0 4; 2θ 31.11, rel. 100, hkl 1 1 7; 2θ 31.49, rel. 30, hkl 0 0 9; 2θ 33.46, rel. 25, hkl 2 1 4; 2θ 38.62, rel. 30, hkl 2 2 0; 2θ 54.59, rel. 26, hkl 3 1 9

Cell and atoms:
abc: 6.5945 6.5945 25.5716
angles: 90.00 90.00 90.00
Space group P4/nbm (No. 125, origin choice 2)
Inequivalent atoms, fractional coordinates:
Nd  0.0658  0.5658  0.1132 x8
Nd  0.0822  0.5822  0.5623 x8
Nd  0.2500  0.2500  0.2141 x4
Nd  0.2500  0.2500  0.3371 x4
Sm  0.2500  0.7500  0.2684 x4
Ho  0.2500  0.7500  0.0000 x2